CsNpO3: theoretical powder diffractogram (Cu Kα (λ = 1.5418 Å)), based on the GGA-PBE geometry in the Materials Project.
Intensities are scaled so that the largest is 100.

Structure:
```
data_CsNpO3
_cell_length_a 4.3910
_cell_length_b 4.3910
_cell_length_c 4.3910
_cell_angle_alpha 90.00
_cell_angle_beta 90.00
_cell_angle_gamma 90.00
_space_group_name_H-M_alt 'P 1'
_space_group_IT_number 1
loop_
_space_group_symop_operation_xyz
'x,y,z'
loop_
_atom_site_label
_atom_site_type_symbol
_atom_site_fract_x
_atom_site_fract_y
_atom_site_fract_z
Cs1 Cs 0.0000 0.0000 0.0000
Np1 Np 0.5000 0.5000 0.5000
O1 O 0.0000 0.5000 0.5000
O2 O 0.5000 0.0000 0.5000
O3 O 0.5000 0.5000 0.0000
```

The 8 most intense peaks (2θ = 10–80°), low angle first:
d_spacing, I_rel, (hkl)
4.391, 13, 1 0 0
3.105, 100, 1 1 0
2.196, 27, 2 0 0
1.964, 7, 2 1 0
1.793, 43, 2 1 1
1.552, 18, 2 2 0
1.389, 19, 3 1 0
1.268, 6, 2 2 2